No. 1
This entry pairs a crystal structure of GaAuBrN2 with its theoretical powder XRD pattern. Radiation: copper Kα. Structure: a crystal structure in Alexandria, relaxed with PBE.
Intensities are scaled so that the largest is 100.

Cell and atoms:
Cell: 3.866 3.866 6.224 Å, 90.00 90.00 90.00°
Atoms (fractional coordinates):
Ga 0.000 0.000 0.000
Au 0.500 0.500 0.000
Br 0.000 0.000 0.500
N 0.000 0.500 0.500
N 0.500 0.000 0.500

Principal peaks in the range 10° ≤ 2θ ≤ 90°, by intensity:
2theta  d/Å  Rel. int.
27.15  3.284  100
32.76  2.733  77
28.68  3.112  75
44.09  2.054  69
14.23  6.224  61
35.88  2.503  54
56.01  1.642  44
47.01  1.933  38

---

No. 2
This entry pairs a crystal structure of NaH6CN2ClO2 with its theoretical powder XRD pattern. Radiation: copper Kα. Structure: a crystal structure in Alexandria, relaxed with PBE.
Intensities are scaled so that the largest is 100.

Cell and atoms:
Cell: 17.628 6.648 5.144 Å, 90.00 90.00 90.00°
Atoms (fractional coordinates):
Na 0.000 0.012 0.000
Na 0.000 0.487 0.995
Na 0.500 0.513 0.495
Na 0.500 0.988 0.500
H 0.043 0.251 0.472
H 0.044 0.754 0.566
H 0.167 0.482 0.511
H 0.178 0.020 0.035
H 0.239 0.860 0.426
H 0.245 0.621 0.104
H 0.255 0.379 0.604
H 0.261 0.140 0.926
H 0.322 0.980 0.535
H 0.333 0.518 0.011
H 0.456 0.246 0.066
H 0.457 0.749 0.972
H 0.543 0.749 0.972
H 0.544 0.246 0.066
H 0.667 0.518 0.011
H 0.678 0.980 0.535
H 0.739 0.140 0.926
H 0.745 0.379 0.604
H 0.755 0.621 0.104
H 0.761 0.860 0.426
H 0.822 0.020 0.035
H 0.833 0.482 0.511
H 0.956 0.754 0.566
H 0.957 0.251 0.472
C 0.161 0.254 0.781
C 0.339 0.746 0.281
C 0.661 0.746 0.281
C 0.839 0.254 0.781
N 0.197 0.385 0.625
N 0.204 0.132 0.931
N 0.296 0.868 0.431
N 0.303 0.615 0.125
N 0.697 0.615 0.125
N 0.704 0.868 0.431
N 0.796 0.132 0.931
N 0.803 0.385 0.625
Cl 0.119 0.743 0.232
Cl 0.381 0.257 0.732
Cl 0.619 0.257 0.732
Cl 0.881 0.743 0.232
O 0.000 0.250 0.347
O 0.000 0.753 0.686
O 0.088 0.246 0.789
O 0.412 0.754 0.289
O 0.500 0.247 0.186
O 0.500 0.750 0.847
O 0.588 0.754 0.289
O 0.912 0.246 0.789

Principal peaks in the range 10° ≤ 2θ ≤ 90°, by intensity:
2theta  d/Å  Rel. int.
21.85  4.068  100
29.89  2.989  89
44.54  2.034  31
10.04  8.814  28
26.82  3.324  26
33.78  2.654  26
35.60  2.522  24
40.61  2.221  23

---

No. 3
This entry pairs a crystal structure of Y6Cd5 with its theoretical powder XRD pattern. Radiation: copper Kα. Structure: a crystal structure in Alexandria, relaxed with PBE.
Intensities are scaled so that the largest is 100.

Cell and atoms:
Cell: 8.220 8.220 7.561 Å, 90.00 90.00 143.04°
Atoms (fractional coordinates):
Y 0.000 0.000 0.243
Y 0.000 0.000 0.757
Y 0.339 0.661 0.246
Y 0.339 0.661 0.754
Y 0.661 0.339 0.246
Y 0.661 0.339 0.754
Cd 0.169 0.831 0.500
Cd 0.172 0.828 0.000
Cd 0.500 0.500 0.500
Cd 0.828 0.172 0.000
Cd 0.831 0.169 0.500

Principal peaks in the range 10° ≤ 2θ ≤ 90°, by intensity:
2theta  d/Å  Rel. int.
34.00  2.637  100
34.47  2.602  48
60.54  1.529  18
61.39  1.510  17
49.54  1.840  17
61.51  1.508  16
71.57  1.318  10
48.14  1.890  9

---

No. 4
This entry pairs a crystal structure of TaCoB4 with its theoretical powder XRD pattern. Radiation: copper Kα. Structure: a crystal structure in Alexandria, relaxed with PBE.
Intensities are scaled so that the largest is 100.

Cell and atoms:
Cell: 5.727 11.149 3.136 Å, 90.00 90.00 90.00°
Atoms (fractional coordinates):
Ta 0.128 0.152 0.000
Ta 0.372 0.652 0.000
Ta 0.628 0.348 0.000
Ta 0.872 0.848 0.000
Co 0.138 0.408 0.000
Co 0.362 0.908 0.000
Co 0.638 0.092 0.000
Co 0.862 0.592 0.000
B 0.022 0.695 0.500
B 0.117 0.548 0.500
B 0.130 0.967 0.500
B 0.207 0.812 0.500
B 0.293 0.312 0.500
B 0.370 0.467 0.500
B 0.383 0.048 0.500
B 0.478 0.195 0.500
B 0.522 0.805 0.500
B 0.617 0.952 0.500
B 0.630 0.533 0.500
B 0.707 0.688 0.500
B 0.793 0.188 0.500
B 0.870 0.033 0.500
B 0.883 0.452 0.500
B 0.978 0.305 0.500

Principal peaks in the range 10° ≤ 2θ ≤ 90°, by intensity:
2theta  d/Å  Rel. int.
43.56  2.078  100
28.47  3.136  92
32.27  2.774  90
43.44  2.083  50
28.63  3.118  48
32.11  2.787  47
40.82  2.211  46
22.25  3.995  41